# 1
This entry pairs a crystal structure of CaCoBiO5 with its simulated X-ray powder pattern. Radiation: λ = 1.5418 Å (Cu Kα). Structure: a structure optimized by DFT (GGA+U).
Lines closer than 0.1° are merged.

Cell lengths 5.875, 10.706, 8.424 Å; angles 90.00, 107.46, 90.00 degrees
Space group P2_1/c (No. 14)
Symmetry-distinct sites (fractional):
Ca: 0.039 0.094 0.190 [4 per cell]
Co: 0.362 0.628 0.047 [4 per cell]
Bi: 0.492 0.101 0.846 [4 per cell]
O: 0.207 0.718 0.517 [4 per cell]
O: 0.244 0.529 0.183 [4 per cell]
O: 0.276 0.043 0.009 [4 per cell]
O: 0.323 0.566 0.838 [4 per cell]
O: 0.352 0.214 0.338 [4 per cell]

Principal peaks in the range 2θ = 15–90°, low angle first:
hkl, d_spacing, I/Imax
1 0 0, 5.605, 1000
0 2 1, 4.455, 261
1 2 -1, 3.808, 290
0 1 2, 3.762, 311
1 1 -2, 3.631, 606
1 2 1, 3.235, 704
0 4 0, 2.675, 262
1 3 -2, 2.620, 280
2 1 -3, 2.262, 186
1 3 2, 2.242, 195

***

# 2
This entry pairs a crystal structure of SrCaCrBiO6 with its simulated X-ray powder pattern. Radiation: λ = 1.5418 Å (Cu Kα). Structure: a structure optimized by DFT (GGA+U).
Lines closer than 0.1° are merged.

Cell lengths 8.148, 8.148, 8.148 Å; angles 90.00, 90.00, 90.00 degrees
Space group F-43m (No. 216)
Symmetry-distinct sites (fractional):
Sr: 0.000 0.000 0.000 [4 per cell]
Ca: 0.000 0.000 0.500 [4 per cell]
Cr: 0.250 0.250 0.250 [4 per cell]
Bi: 0.250 0.250 0.750 [4 per cell]
O: 0.006 0.250 0.250 [24 per cell]

Principal peaks in the range 2θ = 15–90°, low angle first:
hkl, d_spacing, I/Imax
1 1 1, 4.704, 396
2 0 0, 4.074, 252
2 2 0, 2.881, 1000
3 1 1, 2.457, 263
4 0 0, 2.037, 337
3 3 1, 1.869, 129
4 2 0, 1.822, 108
4 2 2, 1.663, 398
4 4 0, 1.440, 204
6 2 0, 1.288, 174

***

# 3
This entry pairs a crystal structure of Ca2FeBiO6 with its simulated X-ray powder pattern. Radiation: λ = 1.5418 Å (Cu Kα). Structure: a structure optimized by DFT (GGA+U).
Lines closer than 0.1° are merged.

Cell lengths 8.125, 8.125, 8.125 Å; angles 90.00, 90.00, 90.00 degrees
Space group Fm-3m (No. 225)
Symmetry-distinct sites (fractional):
Ca: 0.250 0.250 0.250 [8 per cell]
Fe: 0.000 0.000 0.000 [4 per cell]
Bi: 0.000 0.000 0.500 [4 per cell]
O: 0.000 0.000 0.244 [24 per cell]

Principal peaks in the range 2θ = 15–90°, low angle first:
hkl, d_spacing, I/Imax
1 1 1, 4.691, 427
2 0 0, 4.063, 546
2 2 0, 2.873, 1000
3 1 1, 2.450, 287
4 0 0, 2.031, 358
3 3 1, 1.864, 142
4 2 0, 1.817, 243
4 2 2, 1.659, 395
4 4 0, 1.436, 213
6 2 0, 1.285, 172

***

# 4
This entry pairs a crystal structure of SrCaFeBiO6 with its simulated X-ray powder pattern. Radiation: λ = 1.5418 Å (Cu Kα). Structure: a structure optimized by DFT (GGA+U).
Lines closer than 0.1° are merged.

Cell lengths 8.172, 8.172, 8.172 Å; angles 90.00, 90.00, 90.00 degrees
Space group F-43m (No. 216)
Symmetry-distinct sites (fractional):
Sr: 0.000 0.000 0.000 [4 per cell]
Ca: 0.000 0.000 0.500 [4 per cell]
Fe: 0.250 0.250 0.750 [4 per cell]
Bi: 0.250 0.250 0.250 [4 per cell]
O: 0.006 0.250 0.750 [24 per cell]

Principal peaks in the range 2θ = 15–90°, low angle first:
hkl, d_spacing, I/Imax
1 1 1, 4.718, 360
2 0 0, 4.086, 260
2 2 0, 2.889, 1000
3 1 1, 2.464, 240
4 0 0, 2.043, 336
3 3 1, 1.875, 118
4 2 2, 1.668, 401
4 4 0, 1.445, 204
6 2 0, 1.292, 175
6 4 2, 1.092, 219